For TaVGe2O8, a GGA+U-relaxed structure gives the calculated powder diffractogram in this record (Cu Ka).
No peak broadening, texture or thermal motion is included.

Most intense lines, 2θ from 10° to 90°, in order of rising 2θ:
| two_theta | I (rel.) |
| --- | --- |
| 19.10 | 240 |
| 19.57 | 341 |
| 27.14 | 1000 |
| 34.51 | 769 |
| 38.77 | 198 |
| 52.86 | 636 |
| 55.98 | 156 |
| 63.30 | 133 |
| 66.03 | 145 |
| 67.45 | 189 |

Structure:
Lattice parameters (Å, degrees): 5.6049 5.6049 5.6049 108.24 108.24 111.97
Fractional coordinates of all 12 atoms:
Ta  0.0000  0.0000  0.0000
V  0.2500  0.7500  0.5000
Ge  0.5000  0.5000  0.0000
Ge  0.7500  0.2500  0.5000
O  0.2945  0.1095  0.8150
O  0.2945  0.4795  0.1850
O  0.3641  0.0577  0.3063
O  0.5205  0.7055  0.8150
O  0.7514  0.0577  0.6937
O  0.8905  0.7055  0.1850
O  0.9423  0.2486  0.3063
O  0.9423  0.6359  0.6937